Structure and computed powder diffraction line list of K6YO4 (a structure optimized by DFT (PBE); Cu Kα (weighted mean of Kα1 and Kα2)).

Largest 8 diffraction maxima, by intensity, 2θ from 10° to 90°:
(hkl), 2θ (°), d (Å), I/Imax
2 1 1, 31.6, 2.828, 100
1 0 0, 10.7, 8.255, 36
1 0 2, 28.8, 3.100, 31
2 2 0, 37.8, 2.383, 26
1 0 1, 17.1, 5.197, 24
3 0 1, 35.3, 2.545, 22
2 1 0, 28.6, 3.120, 17
3 2 2, 55.8, 1.648, 17

Cell and atoms:
a b c (Å): 9.532 9.532 6.689
angles (deg): 90.00 90.00 120.00
Positions (direct):
K (0.087, 0.544, 0.000)
K (0.133, 0.266, 0.658)
K (0.133, 0.867, 0.658)
K (0.266, 0.133, 0.158)
K (0.456, 0.544, 0.000)
K (0.456, 0.913, 0.000)
K (0.544, 0.087, 0.500)
K (0.544, 0.456, 0.500)
K (0.734, 0.867, 0.658)
K (0.867, 0.133, 0.158)
K (0.867, 0.734, 0.158)
K (0.913, 0.456, 0.500)
Y (0.333, 0.667, 0.418)
Y (0.667, 0.333, 0.918)
O (0.211, 0.422, 0.298)
O (0.211, 0.789, 0.298)
O (0.333, 0.667, 0.743)
O (0.422, 0.211, 0.798)
O (0.578, 0.789, 0.298)
O (0.667, 0.333, 0.243)
O (0.789, 0.211, 0.798)
O (0.789, 0.578, 0.798)